Record 1
Simulated powder diffraction line list of NaRhS2O6 for CuKα, from a structure optimized by DFT (PBE).
Peak positions follow from Bragg's law for the DFT cell and can differ from measured ones.

Structural model:
```
NaRhS2O6
1.0
2.457 1.418 6.138
-2.457 1.418 6.138
0.000 -2.837 6.138
Na Rh S O
1 1 2 6
Cartesian
0.000 0.000 0.000
0.000 0.000 9.207
0.000 0.000 4.863
0.000 0.000 13.551
-1.637 -0.217 7.939
-0.631 -1.526 10.475
1.006 -1.309 7.939
-1.006 1.309 10.475
0.631 1.526 7.939
1.637 0.217 10.475
```

Most intense lines, 5 to 70 degrees two-theta, by intensity:
- d 3.125, 28.57°, intensity 100
- d 4.146, 21.43°, intensity 40
- d 6.138, 14.43°, intensity 33
- d 2.457, 36.58°, intensity 26
- d 2.025, 44.77°, intensity 22
- d 1.518, 61.03°, intensity 16
- d 2.785, 32.14°, intensity 15
- d 2.281, 39.51°, intensity 15
- d 1.918, 47.40°, intensity 15
- d 1.931, 47.06°, intensity 15

***

Record 2
Simulated powder diffraction line list of PuU2Ir for CuKα, from a structure optimized by DFT (PBE).
Peak positions follow from Bragg's law for the DFT cell and can differ from measured ones.

Structural model:
```
PuU2Ir
1.0
1.714 0.990 7.429
-1.714 0.990 7.429
0.000 -1.979 7.429
Pu U Ir
1 2 1
Cartesian
0.000 0.000 0.000
0.000 0.000 5.741
0.000 0.000 16.546
0.000 0.000 11.143
```

Most intense lines, 5 to 70 degrees two-theta, by intensity:
- d 2.620, 34.22°, intensity 100
- d 2.032, 44.60°, intensity 46
- d 1.714, 53.45°, intensity 30
- d 1.434, 65.02°, intensity 16
- d 1.857, 49.05°, intensity 11
- d 7.429, 11.91°, intensity 6
- d 2.171, 41.59°, intensity 3
- d 1.674, 54.86°, intensity 3
- d 1.485, 62.54°, intensity 2
- d 2.474, 36.31°, intensity 1